[1]
The following is a calculated powder diffractogram of CrO2. It was derived from the PBE+U geometry in the Materials Project, using Cu Kα (weighted mean of Kα1 and Kα2).
Kinematic intensities with the Lorentz-polarization factor, no thermal factor.

```
data_CrO2
_chemical_formula_sum 'Cr4 O8'
_symmetry_space_group_name_H-M 'P b c n'
_symmetry_Int_Tables_number 60
_symmetry_space_group_name_Hall '-P 2n 2ab'
_cell_length_a 4.3202
_cell_length_b 5.5028
_cell_length_c 5.0226
_cell_angle_alpha 90.00
_cell_angle_beta 90.00
_cell_angle_gamma 90.00
loop_
_atom_site_label
_atom_site_type_symbol
_atom_site_fract_x
_atom_site_fract_y
_atom_site_fract_z
Cr1 Cr 0.0000 0.1449 0.2500
O1 O 0.2368 0.1163 0.5838
```

Main lines, in order of rising 2θ (10 to 90 degrees two-theta):
2θ 26.23, d 3.398, I = 603, (1 1 0)
2θ 31.79, d 2.814, I = 1000, (1 1 1)
2θ 35.75, d 2.511, I = 144, (0 0 2)
2θ 37.26, d 2.413, I = 233, (0 2 1)
2θ 42.93, d 2.107, I = 176, (1 2 1)
2θ 44.88, d 2.020, I = 211, (1 1 2)
2θ 54.34, d 1.688, I = 141, (1 3 0)
2θ 56.17, d 1.638, I = 227, (2 0 2)
2θ 57.24, d 1.609, I = 405, (2 2 1)
2θ 65.23, d 1.430, I = 187, (0 2 3)


[2]
The following is a calculated powder diffractogram of Mn3ZnP3O13. It was derived from the PBE+U geometry in the Materials Project, using Cu Kα (weighted mean of Kα1 and Kα2).
Kinematic intensities with the Lorentz-polarization factor, no thermal factor.

```
data_Mn3ZnP3O13
_chemical_formula_sum 'Mn6 Zn2 P6 O26'
_symmetry_space_group_name_H-M 'P 1 21/m 1'
_symmetry_Int_Tables_number 11
_symmetry_space_group_name_Hall '-P 2yb'
_cell_length_a 7.7631
_cell_length_b 6.1668
_cell_length_c 10.3288
_cell_angle_alpha 90.00
_cell_angle_beta 99.99
_cell_angle_gamma 90.00
loop_
_atom_site_label
_atom_site_type_symbol
_atom_site_fract_x
_atom_site_fract_y
_atom_site_fract_z
Mn1 Mn 0.0000 0.0000 0.0000
Mn2 Mn 0.2278 0.2500 0.5683
Mn3 Mn 0.3488 0.7500 0.2105
Zn1 Zn 0.3657 0.7500 0.8428
P1 P 0.2096 0.7500 0.4919
P2 P 0.2657 0.2500 0.2389
P3 P 0.3247 0.2500 0.8828
O1 O 0.0249 0.7500 0.4135
O2 O 0.0958 0.2500 0.1318
O3 O 0.1168 0.7500 0.0937
O4 O 0.2198 0.2500 0.3748
O5 O 0.2212 0.0358 0.8956
O6 O 0.2497 0.5569 0.5911
O7 O 0.3454 0.7500 0.3988
O8 O 0.3768 0.2500 0.7438
O9 O 0.3839 0.0585 0.2088
O10 O 0.4933 0.7500 0.0286
```

Main lines, in order of rising 2θ (10 to 90 degrees two-theta):
2θ 19.21, d 4.620, I = 619, (1 0 -2)
2θ 22.62, d 3.930, I = 720, (1 0 2)
2θ 23.27, d 3.823, I = 454, (2 0 0)
2θ 23.40, d 3.802, I = 440, (2 0 -1)
2θ 26.29, d 3.390, I = 552, (0 0 3)
2θ 28.96, d 3.083, I = 799, (0 2 0)
2θ 30.63, d 2.919, I = 1000, (1 0 3)
2θ 32.10, d 2.788, I = 430, (2 0 -3)
2θ 33.09, d 2.708, I = 370, (1 2 1)
2θ 39.50, d 2.281, I = 406, (0 2 3)


Please write out number 2 again, unchanged.
The following is a calculated powder diffractogram of Mn3ZnP3O13. It was derived from the PBE+U geometry in the Materials Project, using Cu Kα (weighted mean of Kα1 and Kα2).
Kinematic intensities with the Lorentz-polarization factor, no thermal factor.

```
data_Mn3ZnP3O13
_chemical_formula_sum 'Mn6 Zn2 P6 O26'
_symmetry_space_group_name_H-M 'P 1 21/m 1'
_symmetry_Int_Tables_number 11
_symmetry_space_group_name_Hall '-P 2yb'
_cell_length_a 7.7631
_cell_length_b 6.1668
_cell_length_c 10.3288
_cell_angle_alpha 90.00
_cell_angle_beta 99.99
_cell_angle_gamma 90.00
loop_
_atom_site_label
_atom_site_type_symbol
_atom_site_fract_x
_atom_site_fract_y
_atom_site_fract_z
Mn1 Mn 0.0000 0.0000 0.0000
Mn2 Mn 0.2278 0.2500 0.5683
Mn3 Mn 0.3488 0.7500 0.2105
Zn1 Zn 0.3657 0.7500 0.8428
P1 P 0.2096 0.7500 0.4919
P2 P 0.2657 0.2500 0.2389
P3 P 0.3247 0.2500 0.8828
O1 O 0.0249 0.7500 0.4135
O2 O 0.0958 0.2500 0.1318
O3 O 0.1168 0.7500 0.0937
O4 O 0.2198 0.2500 0.3748
O5 O 0.2212 0.0358 0.8956
O6 O 0.2497 0.5569 0.5911
O7 O 0.3454 0.7500 0.3988
O8 O 0.3768 0.2500 0.7438
O9 O 0.3839 0.0585 0.2088
O10 O 0.4933 0.7500 0.0286
```

Main lines, in order of rising 2θ (10 to 90 degrees two-theta):
2θ 19.21, d 4.620, I = 619, (1 0 -2)
2θ 22.62, d 3.930, I = 720, (1 0 2)
2θ 23.27, d 3.823, I = 454, (2 0 0)
2θ 23.40, d 3.802, I = 440, (2 0 -1)
2θ 26.29, d 3.390, I = 552, (0 0 3)
2θ 28.96, d 3.083, I = 799, (0 2 0)
2θ 30.63, d 2.919, I = 1000, (1 0 3)
2θ 32.10, d 2.788, I = 430, (2 0 -3)
2θ 33.09, d 2.708, I = 370, (1 2 1)
2θ 39.50, d 2.281, I = 406, (0 2 3)